Diffraction record for Ho5In2Os. The PXRD pattern is calculated, not measured: it uses a structure optimized by DFT (PBE) and Cu Kα (weighted mean of Kα1 and Kα2).

Peak list (12 most intense, 10° ≤ 2θ ≤ 90°, sorted by position)
2θ/deg  d [Å]  I (rel.)  hkl
30.99  2.886  22  1 3 1
31.45  2.845  34  1 4 0
32.32  2.770  39  2 0 1
33.12  2.705  100  2 1 1
33.77  2.654  95  0 4 1
34.33  2.612  35  2 3 0
35.42  2.535  29  2 2 1
36.27  2.477  70  0 0 2
42.52  2.126  21  1 5 1
48.75  1.868  20  1 4 2
50.80  1.797  23  2 3 2
63.65  1.462  30  0 4 3

Structural model:
Cell: 6.6809 12.5751 4.9533 Å, 90.00 90.00 90.00°
Space group Pbam (No. 55)
Unique sites:
Ho 0.0000 0.0000 0.0000 [2 per cell]
Ho 0.1132 0.2870 0.0000 [4 per cell]
Ho 0.1699 0.5899 0.5000 [4 per cell]
In 0.1223 0.8453 0.5000 [4 per cell]
Os 0.0000 0.5000 0.0000 [2 per cell]